Computed XRD peak list of KPrOsSe4 for Cu Kα, from DFT lattice parameters and positions (PBE).
No peak broadening, texture or thermal motion is included.

Atomic structure:
Lattice parameters (Å, degrees): 6.8555 6.8922 9.2478 90.00 110.74 90.00
Sites, in units of the cell vectors:
K  0.2316  0.0000  0.0508
K  0.7684  0.5000  0.9492
Pr  0.2124  0.9920  0.5491
Pr  0.7876  0.4920  0.4509
Os  0.2752  0.4644  0.3496
Os  0.7248  0.9644  0.6504
Se  0.0131  0.7409  0.7205
Se  0.0150  0.7253  0.2810
Se  0.4153  0.5431  0.1558
Se  0.4744  0.6259  0.5931
Se  0.5256  0.1259  0.4069
Se  0.5847  0.0431  0.8442
Se  0.9850  0.2253  0.7190
Se  0.9869  0.2409  0.2795

Principal peaks in the range 2θ = 10–90°, in order of falling intensity:
- 10.23 deg, intensity 1000
- 16.45 deg, intensity 542
- 31.07 deg, intensity 345
- 38.35 deg, intensity 326
- 38.98 deg, intensity 263
- 31.56 deg, intensity 249
- 24.30 deg, intensity 167
- 29.45 deg, intensity 162

---

Computed XRD peak list of KYOsS4 for Cu Kα, from DFT lattice parameters and positions (PBE).
No peak broadening, texture or thermal motion is included.

Atomic structure:
Lattice parameters (Å, degrees): 6.5495 6.5233 8.6550 90.00 109.67 90.00
Sites, in units of the cell vectors:
K  0.2358  0.0000  0.0478
K  0.7642  0.5000  0.9522
Y  0.2071  0.9867  0.5469
Y  0.7929  0.4867  0.4531
Os  0.2851  0.4685  0.3566
Os  0.7149  0.9685  0.6434
S  0.0017  0.7423  0.7075
S  0.0162  0.7236  0.2911
S  0.4352  0.5509  0.1688
S  0.4908  0.6343  0.5905
S  0.5092  0.1343  0.4095
S  0.5648  0.0509  0.8312
S  0.9838  0.2236  0.7089
S  0.9983  0.2423  0.2925

Principal peaks in the range 2θ = 10–90°, in order of falling intensity:
- 10.86 deg, intensity 1000
- 17.41 deg, intensity 613
- 25.76 deg, intensity 488
- 32.95 deg, intensity 353
- 14.81 deg, intensity 275
- 40.25 deg, intensity 272
- 27.34 deg, intensity 216
- 30.57 deg, intensity 207

---

Computed XRD peak list of KSb5Os3 for Cu Kα, from DFT lattice parameters and positions (PBE).
No peak broadening, texture or thermal motion is included.

Atomic structure:
Lattice parameters (Å, degrees): 5.7258 5.7258 8.6170 90.00 90.00 120.00
Sites, in units of the cell vectors:
K  0.0000  0.0000  0.0000
Sb  0.0000  0.0000  0.5000
Sb  0.3333  0.6667  0.2504
Sb  0.3333  0.6667  0.7496
Sb  0.6667  0.3333  0.2504
Sb  0.6667  0.3333  0.7496
Os  0.0000  0.5000  0.5000
Os  0.5000  0.0000  0.5000
Os  0.5000  0.5000  0.5000

Principal peaks in the range 2θ = 10–90°, in order of falling intensity:
- 10.27 deg, intensity 1000
- 42.05 deg, intensity 469
- 37.74 deg, intensity 458
- 48.51 deg, intensity 164
- 17.89 deg, intensity 155
- 41.94 deg, intensity 123
- 31.24 deg, intensity 121
- 80.57 deg, intensity 110

---

Computed XRD peak list of K2RbP2Pd3 for Cu Kα, from DFT lattice parameters and positions (PBE).
No peak broadening, texture or thermal motion is included.

Atomic structure:
Lattice parameters (Å, degrees): 7.6237 7.6237 7.6237 44.81 44.81 44.81
Sites, in units of the cell vectors:
K  0.0881  0.0881  0.0881
K  0.9119  0.9119  0.9119
Rb  0.5000  0.5000  0.5000
P  0.2529  0.2529  0.2529
P  0.7471  0.7471  0.7471
Pd  0.0000  0.5000  0.5000
Pd  0.5000  0.0000  0.5000
Pd  0.5000  0.5000  0.0000

Principal peaks in the range 2θ = 10–90°, in order of falling intensity:
- 12.93 deg, intensity 1000
- 28.04 deg, intensity 672
- 36.77 deg, intensity 625
- 39.89 deg, intensity 596
- 50.82 deg, intensity 437
- 33.50 deg, intensity 428
- 35.95 deg, intensity 417
- 18.15 deg, intensity 386

---

Computed XRD peak list of K3RbP2Pd2 for Cu Kα, from DFT lattice parameters and positions (PBE).
No peak broadening, texture or thermal motion is included.

Atomic structure:
Lattice parameters (Å, degrees): 6.2653 5.8587 6.3131 90.00 105.37 90.00
Sites, in units of the cell vectors:
K  0.0000  0.0000  0.0000
K  0.2972  0.5000  0.3014
K  0.6566  0.0000  0.3375
Rb  0.9486  0.5000  0.6387
P  0.2451  0.0000  0.5735
P  0.7175  0.5000  0.0621
Pd  0.4675  0.2474  0.8341
Pd  0.4675  0.7526  0.8341

Principal peaks in the range 2θ = 10–90°, in order of falling intensity:
- 33.99 deg, intensity 1000
- 14.55 deg, intensity 936
- 29.32 deg, intensity 719
- 29.14 deg, intensity 565
- 17.73 deg, intensity 518
- 38.77 deg, intensity 516
- 27.92 deg, intensity 489
- 14.66 deg, intensity 450

---

Computed XRD peak list of K2P2PdS6 for Cu Kα, from DFT lattice parameters and positions (PBE).
No peak broadening, texture or thermal motion is included.

Atomic structure:
Lattice parameters (Å, degrees): 15.7524 7.1710 10.1897 90.00 90.00 90.00
Sites, in units of the cell vectors:
K  0.1189  0.2500  0.0652
K  0.1828  0.2500  0.5866
K  0.3172  0.7500  0.0866
K  0.3811  0.7500  0.5652
K  0.6189  0.2500  0.4348
K  0.6828  0.2500  0.9134
K  0.8172  0.7500  0.4134
K  0.8811  0.7500  0.9348
P  0.0563  0.7500  0.2175
P  0.1690  0.7500  0.3499
P  0.3310  0.2500  0.8499
P  0.4437  0.2500  0.7175
P  0.5563  0.7500  0.2825
P  0.6690  0.7500  0.1501
P  0.8310  0.2500  0.6501
P  0.9437  0.2500  0.7825
Pd  0.0000  0.0000  0.5000
Pd  0.0000  0.5000  0.5000
Pd  0.5000  0.0000  0.0000
Pd  0.5000  0.5000  0.0000
S  0.0085  0.0111  0.7316
S  0.0085  0.4889  0.7316
S  0.0904  0.7500  0.0304
S  0.0956  0.7500  0.5280
S  0.2342  0.5136  0.3332
S  0.2342  0.9864  0.3332
S  0.2658  0.0136  0.8332
S  0.2658  0.4864  0.8332
S  0.4044  0.2500  0.0280
S  0.4096  0.2500  0.5304
S  0.4915  0.5111  0.2316
S  0.4915  0.9889  0.2316
S  0.5085  0.0111  0.7684
S  0.5085  0.4889  0.7684
S  0.5904  0.7500  0.4696
S  0.5956  0.7500  0.9720
S  0.7342  0.5136  0.1668
S  0.7342  0.9864  0.1668
S  0.7658  0.0136  0.6668
S  0.7658  0.4864  0.6668
S  0.9044  0.2500  0.4720
S  0.9096  0.2500  0.9696
S  0.9915  0.5111  0.2684
S  0.9915  0.9889  0.2684

Principal peaks in the range 2θ = 10–90°, in order of falling intensity:
- 10.34 deg, intensity 1000
- 33.81 deg, intensity 566
- 11.23 deg, intensity 513
- 26.96 deg, intensity 311
- 29.68 deg, intensity 298
- 37.09 deg, intensity 267
- 31.46 deg, intensity 242
- 15.11 deg, intensity 215

---

Computed XRD peak list of KPPdS4 for Cu Kα, from DFT lattice parameters and positions (PBE).
No peak broadening, texture or thermal motion is included.

Atomic structure:
Lattice parameters (Å, degrees): 8.6704 8.6704 10.6505 90.00 90.00 90.00
Sites, in units of the cell vectors:
K  0.0000  0.5000  0.2500
K  0.0000  0.5000  0.7500
K  0.5000  0.0000  0.2500
K  0.5000  0.0000  0.7500
P  0.2493  0.2493  0.0000
P  0.2507  0.7493  0.5000
P  0.7493  0.2507  0.5000
P  0.7507  0.7507  0.0000
Pd  0.0000  0.0000  0.0000
Pd  0.0000  0.0000  0.5000
Pd  0.5000  0.5000  0.0000
Pd  0.5000  0.5000  0.5000
S  0.0141  0.7301  0.5000
S  0.1427  0.1427  0.1483
S  0.1427  0.1427  0.8517
S  0.2301  0.4859  0.0000
S  0.2699  0.9859  0.5000
S  0.3573  0.6427  0.3517
S  0.3573  0.6427  0.6483
S  0.4859  0.2301  0.0000
S  0.5141  0.7699  0.0000
S  0.6427  0.3573  0.3517
S  0.6427  0.3573  0.6483
S  0.7301  0.0141  0.5000
S  0.7699  0.5141  0.0000
S  0.8573  0.8573  0.1483
S  0.8573  0.8573  0.8517
S  0.9859  0.2699  0.5000

Principal peaks in the range 2θ = 10–90°, in order of falling intensity:
- 16.66 deg, intensity 1000
- 22.11 deg, intensity 912
- 36.87 deg, intensity 766
- 14.45 deg, intensity 494
- 54.59 deg, intensity 331
- 20.49 deg, intensity 323
- 47.64 deg, intensity 301
- 45.16 deg, intensity 227

---

Computed XRD peak list of K2RbP2Pt3 for Cu Kα, from DFT lattice parameters and positions (PBE).
No peak broadening, texture or thermal motion is included.

Atomic structure:
Lattice parameters (Å, degrees): 7.6019 7.6019 7.6019 44.41 44.41 44.41
Sites, in units of the cell vectors:
K  0.0871  0.0871  0.0871
K  0.9129  0.9129  0.9129
Rb  0.5000  0.5000  0.5000
P  0.2516  0.2516  0.2516
P  0.7484  0.7484  0.7484
Pt  0.0000  0.5000  0.5000
Pt  0.5000  0.0000  0.5000
Pt  0.5000  0.5000  0.0000

Principal peaks in the range 2θ = 10–90°, in order of falling intensity:
- 12.94 deg, intensity 1000
- 37.18 deg, intensity 420
- 40.28 deg, intensity 378
- 36.37 deg, intensity 340
- 28.19 deg, intensity 276
- 51.15 deg, intensity 262
- 18.34 deg, intensity 254
- 26.06 deg, intensity 229

---

Computed XRD peak list of K3PuP2S8 for Cu Kα, from DFT lattice parameters and positions (PBE).
No peak broadening, texture or thermal motion is included.

Atomic structure:
Lattice parameters (Å, degrees): 9.0638 17.1448 9.5533 90.00 90.27 90.00
Sites, in units of the cell vectors:
K  0.1130  0.2117  0.1328
K  0.1130  0.2883  0.6328
K  0.2325  0.0312  0.5130
K  0.2325  0.4688  0.0130
K  0.3781  0.7076  0.8719
K  0.3781  0.7924  0.3719
K  0.6219  0.2076  0.6281
K  0.6219  0.2924  0.1281
K  0.7675  0.5312  0.9870
K  0.7675  0.9688  0.4870
K  0.8870  0.7117  0.3672
K  0.8870  0.7883  0.8672
Pu  0.2789  0.5113  0.4725
Pu  0.2789  0.9887  0.9725
Pu  0.7211  0.0113  0.0275
Pu  0.7211  0.4887  0.5275
P  0.0269  0.5979  0.7187
P  0.0269  0.9021  0.2187
P  0.4992  0.1019  0.2420
P  0.4992  0.3981  0.7420
P  0.5008  0.6019  0.2580
P  0.5008  0.8981  0.7580
P  0.9731  0.0979  0.7813
P  0.9731  0.4021  0.2813
S  0.0431  0.0205  0.1765
S  0.0431  0.4795  0.6765
S  0.0663  0.6256  0.9213
S  0.0663  0.8744  0.4213
S  0.1712  0.6546  0.5888
S  0.1712  0.8454  0.0888
S  0.1871  0.1280  0.8333
S  0.1871  0.3720  0.3333
S  0.2790  0.6127  0.2274
S  0.2790  0.8873  0.7274
S  0.3819  0.1765  0.3617
S  0.3819  0.3235  0.8617
S  0.4488  0.5156  0.7498
S  0.4488  0.9844  0.2498
S  0.4670  0.1225  0.0299
S  0.4670  0.3775  0.5299
S  0.5330  0.6225  0.4701
S  0.5330  0.8775  0.9701
S  0.5512  0.0156  0.7502
S  0.5512  0.4844  0.2502
S  0.6181  0.6765  0.1383
S  0.6181  0.8235  0.6383
S  0.7210  0.1127  0.2726
S  0.7210  0.3873  0.7726
S  0.8129  0.6280  0.6667
S  0.8129  0.8720  0.1667
S  0.8288  0.1546  0.9112
S  0.8288  0.3454  0.4112
S  0.9337  0.1256  0.5787
S  0.9337  0.3744  0.0787
S  0.9569  0.5205  0.3235
S  0.9569  0.9795  0.8235

Principal peaks in the range 2θ = 10–90°, in order of falling intensity:
- 10.60 deg, intensity 1000
- 10.32 deg, intensity 684
- 29.03 deg, intensity 241
- 18.09 deg, intensity 204
- 22.23 deg, intensity 202
- 27.19 deg, intensity 199
- 34.43 deg, intensity 195
- 34.91 deg, intensity 137

---

Computed XRD peak list of KRbSm2P2 for Cu Kα, from DFT lattice parameters and positions (PBE).
No peak broadening, texture or thermal motion is included.

Atomic structure:
Lattice parameters (Å, degrees): 5.1071 5.1071 7.7668 90.00 90.00 90.00
Sites, in units of the cell vectors:
K  0.0000  0.0000  0.0000
Rb  0.5000  0.5000  0.2235
Sm  0.0000  0.5000  0.6157
Sm  0.5000  0.0000  0.6157
P  0.0000  0.0000  0.4410
P  0.5000  0.5000  0.7807

Principal peaks in the range 2θ = 10–90°, in order of falling intensity:
- 27.23 deg, intensity 1000
- 11.39 deg, intensity 744
- 35.14 deg, intensity 448
- 33.90 deg, intensity 405
- 53.58 deg, intensity 246
- 22.90 deg, intensity 240
- 58.36 deg, intensity 235
- 28.88 deg, intensity 207

---

Computed XRD peak list of KRbTm2P2 for Cu Kα, from DFT lattice parameters and positions (PBE).
No peak broadening, texture or thermal motion is included.

Atomic structure:
Lattice parameters (Å, degrees): 4.8678 4.8678 7.8941 90.00 90.00 90.00
Sites, in units of the cell vectors:
K  0.0000  0.0000  0.0000
Rb  0.5000  0.5000  0.2412
Tm  0.0000  0.5000  0.6263
Tm  0.5000  0.0000  0.6263
P  0.0000  0.0000  0.4549
P  0.5000  0.5000  0.7900

Principal peaks in the range 2θ = 10–90°, in order of falling intensity:
- 28.29 deg, intensity 1000
- 11.21 deg, intensity 988
- 34.58 deg, intensity 479
- 36.93 deg, intensity 423
- 22.53 deg, intensity 273
- 53.52 deg, intensity 251
- 61.36 deg, intensity 225
- 43.28 deg, intensity 205

---

Repeat the tenth record exactly.
Computed XRD peak list of KRbSm2P2 for Cu Kα, from DFT lattice parameters and positions (PBE).
No peak broadening, texture or thermal motion is included.

Atomic structure:
Lattice parameters (Å, degrees): 5.1071 5.1071 7.7668 90.00 90.00 90.00
Sites, in units of the cell vectors:
K  0.0000  0.0000  0.0000
Rb  0.5000  0.5000  0.2235
Sm  0.0000  0.5000  0.6157
Sm  0.5000  0.0000  0.6157
P  0.0000  0.0000  0.4410
P  0.5000  0.5000  0.7807

Principal peaks in the range 2θ = 10–90°, in order of falling intensity:
- 27.23 deg, intensity 1000
- 11.39 deg, intensity 744
- 35.14 deg, intensity 448
- 33.90 deg, intensity 405
- 53.58 deg, intensity 246
- 22.90 deg, intensity 240
- 58.36 deg, intensity 235
- 28.88 deg, intensity 207